Record 1
Structure and computed XRD peak list of CoIrRu (a cell relaxed with GGA-PBE; a wavelength of 1.5418 Å).

Crystal structure
```
CoIrRu
1.0
2.6858 0.0000 0.0000
0.0000 3.7000 0.0000
0.0000 0.0000 7.9151
Co Ir Ru
2 2 2
Direct
0.0000 0.0000 0.0000
0.5000 0.5000 0.5000
0.0000 0.0000 0.6661
0.5000 0.5000 0.1661
0.0000 0.0000 0.3369
0.5000 0.5000 0.8369
```

Main lines, in order of rising 2θ (2θ from 10° to 90°):
d/Å  Rel. int.
3.958  22
3.352  33
2.543  16
2.174  100
2.148  96
1.882  64
1.850  30
1.319  49
1.139  25
1.128  24

Record 2
Structure and computed XRD peak list of TaCoIrRu (a cell relaxed with GGA-PBE; a wavelength of 1.5418 Å).

Crystal structure
```
TaCoIrRu
1.0
3.7895 0.0000 0.0000
0.0000 3.8313 0.0000
0.0000 0.0000 3.8830
Ta Co Ir Ru
1 1 1 1
Direct
0.0000 0.0000 0.0000
0.0000 0.5000 0.5000
0.5000 0.0000 0.5000
0.5000 0.5000 0.0000
```

Main lines, in order of rising 2θ (2θ from 10° to 90°):
d/Å  Rel. int.
3.831  15
2.712  13
2.214  100
1.942  17
1.916  16
1.895  16
1.167  13
1.155  12
1.146  12
1.107  11

Record 3
Structure and computed XRD peak list of VCoIrRu (a cell relaxed with GGA-PBE; a wavelength of 1.5418 Å).

Crystal structure
```
VCoIrRu
1.0
3.6382 0.0000 0.0000
0.0000 3.7573 0.0000
0.0000 0.0000 3.7982
V Co Ir Ru
1 1 1 1
Direct
0.0000 0.0000 0.0000
0.0000 0.5000 0.5000
0.5000 0.0000 0.5000
0.5000 0.5000 0.0000
```

Main lines, in order of rising 2θ (2θ from 10° to 90°):
d/Å  Rel. int.
3.638  20
2.671  18
2.153  100
1.899  17
1.879  16
1.819  15
1.336  10
1.139  13
1.131  12
1.104  12

Record 4
Structure and computed XRD peak list of CoSbIr2 (a cell relaxed with GGA-PBE; a wavelength of 1.5418 Å).

Crystal structure
```
CoSbIr2
1.0
4.0279 0.0000 0.0000
0.0000 4.0279 0.0000
0.0000 0.0000 7.4380
Co Sb Ir
2 2 4
Direct
0.0000 0.0000 0.0000
0.5000 0.5000 0.5000
0.0000 0.0000 0.5000
0.5000 0.5000 0.0000
0.0000 0.5000 0.2500
0.0000 0.5000 0.7500
0.5000 0.0000 0.2500
0.5000 0.0000 0.7500
```

Main lines, in order of rising 2θ (2θ from 10° to 90°):
d/Å  Rel. int.
3.719  11
2.848  11
2.261  100
2.014  35
1.860  14
1.424  11
1.366  20
1.205  27
1.137  11
1.131  11